This entry pairs a crystal structure of PmBPd6 with its simulated X-ray powder pattern. Radiation: λ = 1.5418 Å (Cu Kα). Structure: DFT lattice parameters and positions (GGA-PBE).
No peak broadening, texture or thermal motion is included.

Atomic structure:
Unit cell a=5.6608 b=5.6608 c=15.0612 alpha=90.00 beta=90.00 gamma=120.00
Space group R-3m (No. 166, hexagonal axes)
Unique sites:
Pm 0.0000 0.0000 0.0000
B 0.0000 0.0000 0.5000
Pd 0.0130 0.5065 0.9118

The 10 most intense peaks (2θ = 5–70°), by angle:
(1 0 4), 29.92°, d 2.986, intensity 37
(0 1 5), 34.96°, d 2.566, intensity 27
(0 0 6), 35.77°, d 2.510, intensity 18
(1 1 3), 36.44°, d 2.466, intensity 11
(0 2 1), 37.16°, d 2.419, intensity 100
(2 0 2), 38.63°, d 2.331, intensity 37
(2 0 5), 47.84°, d 1.901, intensity 22
(1 1 6), 48.47°, d 1.878, intensity 26
(1 2 5), 58.48°, d 1.578, intensity 15
(2 2 0), 66.01°, d 1.415, intensity 24

=====

This entry pairs a crystal structure of IO with its simulated X-ray powder pattern. Radiation: λ = 1.5418 Å (Cu Kα). Structure: DFT lattice parameters and positions (GGA-PBE).
No peak broadening, texture or thermal motion is included.

Atomic structure:
Unit cell a=10.7950 b=10.7950 c=3.1334 alpha=90.00 beta=90.00 gamma=120.00
Space group P6_3/m (No. 176)
Unique sites:
I 0.1354 0.7450 0.2500
O 0.1014 0.4307 0.2500

The 10 most intense peaks (2θ = 5–70°), by angle:
(1 1 0), 16.42°, d 5.397, intensity 43
(2 0 0), 18.99°, d 4.674, intensity 25
(2 1 0), 25.20°, d 3.533, intensity 100
(1 0 1), 30.08°, d 2.971, intensity 32
(1 1 1), 33.06°, d 2.710, intensity 18
(2 0 1), 34.46°, d 2.603, intensity 58
(1 4 0), 44.41°, d 2.040, intensity 22
(1 3 1), 45.40°, d 1.998, intensity 32
(4 2 0), 51.67°, d 1.769, intensity 27
(4 1 1), 53.61°, d 1.710, intensity 23

=====

This entry pairs a crystal structure of SrCdSi with its simulated X-ray powder pattern. Radiation: λ = 1.5418 Å (Cu Kα). Structure: DFT lattice parameters and positions (GGA-PBE).
No peak broadening, texture or thermal motion is included.

Atomic structure:
Unit cell a=4.532 b=4.532 c=15.817 alpha=90.00 beta=90.00 gamma=90.00
Space group I-4m2 (No. 119)
Unique sites:
Sr 0.000 0.000 0.000
Sr 0.000 0.500 0.250
Cd 0.000 0.500 0.661
Si 0.000 0.000 0.425

The 10 most intense peaks (2θ = 5–70°), by angle:
(1 0 1), 20.39°, d 4.356, intensity 34
(1 0 3), 25.93°, d 3.437, intensity 29
(1 1 0), 27.84°, d 3.204, intensity 18
(1 1 2), 30.09°, d 2.970, intensity 100
(1 0 5), 34.58°, d 2.594, intensity 78
(2 0 0), 39.78°, d 2.266, intensity 51
(1 0 7), 44.82°, d 2.022, intensity 29
(2 1 5), 53.71°, d 1.706, intensity 42
(2 1 7), 61.46°, d 1.509, intensity 22
(3 1 2), 66.28°, d 1.410, intensity 20